Starting from a cell relaxed with PBE+U, the X-ray powder pattern of NaVAsCO7 was calculated for CuKα.

Cell and atoms:
```
NaVAsCO7
1.0
5.520 0.000 0.000
0.000 6.515 0.000
-0.303 0.000 9.429
Na V As C O
2 2 2 2 14
Cartesian
1.041 0.000 2.884 Na
4.176 3.257 6.545 Na
0.967 5.017 7.873 V
4.250 1.759 1.556 V
1.255 1.718 8.902 As
3.962 4.975 0.527 As
1.546 4.896 5.529 C
3.671 1.639 3.900 C
0.297 4.878 6.026 O
0.613 1.620 0.887 O
0.853 3.003 7.855 O
0.927 0.338 7.894 O
1.848 4.988 4.346 O
2.283 4.920 0.155 O
2.413 4.828 6.557 O
2.803 1.571 2.872 O
2.933 1.663 9.275 O
3.368 1.731 5.083 O
4.289 3.595 1.535 O
4.364 6.261 1.574 O
4.604 4.878 8.542 O
4.920 1.621 3.403 O
```

Top 12 peaks for 10 to 90 degrees two-theta, by angle:
2θ (°), Rel. int., index
16.5, 65.8, 0 1 1
18.4, 55.3, 1 0 -1
18.9, 61.1, 1 0 1
22.9, 46.1, 1 1 -1
23.3, 100.0, 1 1 1
24.4, 90.4, 1 0 -2
27.4, 92.4, 0 2 0
28.8, 43.4, 1 1 2
29.0, 34.3, 0 2 1
32.5, 42.6, 2 0 0
33.5, 48.9, 0 2 2
36.1, 38.2, 1 1 3

Starting from a cell relaxed with PBE+U, the X-ray powder pattern of Na2VAsCO7 was calculated for CuKα.

Cell and atoms:
```
Na2VAsCO7
1.0
5.373 0.000 0.000
0.000 6.748 0.000
-0.330 0.000 9.205
Na V As C O
4 2 2 2 14
Cartesian
1.181 0.006 2.611 Na
1.181 3.368 2.611 Na
3.862 3.380 6.594 Na
3.862 6.742 6.594 Na
0.823 1.687 7.780 V
4.220 5.061 1.425 V
1.246 5.061 8.500 As
3.796 1.687 0.706 As
1.290 1.687 5.326 C
3.753 5.061 3.879 C
0.073 1.687 5.819 O
0.776 5.061 0.825 O
0.776 3.694 7.572 O
0.776 6.428 7.572 O
1.560 1.687 4.099 O
2.085 1.687 0.475 O
2.234 1.687 6.270 O
2.809 5.061 2.936 O
2.957 5.061 8.730 O
3.482 5.061 5.106 O
4.267 0.320 1.633 O
4.267 3.054 1.633 O
4.267 1.687 8.380 O
4.970 5.061 3.386 O
```

Top 12 peaks for 10 to 90 degrees two-theta, by angle:
2θ (°), Rel. int., index
23.5, 100.0, 1 1 1
25.0, 99.3, 1 0 -2
25.9, 33.6, 1 0 2
26.4, 80.2, 0 2 0
28.2, 38.9, 0 2 1
29.2, 30.8, 1 1 2
32.6, 47.7, 1 2 -1
32.9, 81.2, 0 2 2
33.1, 32.3, 1 0 -3
33.4, 62.8, 2 0 0
36.7, 37.1, 1 1 3
54.3, 66.1, 0 4 0